[1]
For CeGa3CoCu, a structure optimized by DFT (PBE) gives the calculated powder diffractogram in this record (λ = 1.5418 Å (Cu Kα)).

Most intense lines, 2θ from 10° to 90°, by angle:
index  two_theta  I_rel
1 1 1  22.43  17.4
0 0 2  29.91  23.1
2 0 0  30.11  25.5
1 3 1  31.20  35.8
0 2 2  33.66  69.5
2 2 0  33.84  63.0
2 0 2  42.96  100.0
1 5 1  44.16  58.3
0 0 4  62.15  16.8
1 5 3  63.20  19.3
0 8 0  63.41  24.7
2 8 2  79.60  20.3

```
data_CeGa3CoCu
_chemical_formula_sum 'Ce4 Ga12 Co4 Cu4'
_symmetry_space_group_name_H-M 'C m c m'
_symmetry_Int_Tables_number 63
_symmetry_space_group_name_Hall '-C 2c 2'
_cell_length_a 5.9361
_cell_length_b 11.7402
_cell_length_c 5.9743
_cell_angle_alpha 90.00
_cell_angle_beta 90.00
_cell_angle_gamma 90.00
loop_
_atom_site_label
_atom_site_fract_x
_atom_site_fract_y
_atom_site_fract_z
_atom_site_occupancy
Ce1 0.0000 0.2288 0.2500 1
Ga1 0.0000 0.3591 0.7500 1
Ga2 0.2180 0.0000 0.0000 1
Co1 0.0000 0.4116 0.2500 1
Cu1 0.0000 0.1429 0.7500 1
```



[2]
For TbNd5In4, a structure optimized by DFT (PBE) gives the calculated powder diffractogram in this record (λ = 1.5418 Å (Cu Kα)).

Most intense lines, 2θ from 10° to 90°, by angle:
index  two_theta  I_rel
1 0 5  31.51  100.0
1 1 0  34.78  41.4
0 0 10  39.87  10.4
2 0 0  50.01  14.7
1 1 10  53.93  17.2
2 1 5  60.32  31.2
2 0 10  65.79  9.4
1 0 15  67.20  5.9
2 2 0  73.43  4.6
3 0 5  82.08  6.6
3 1 0  83.88  6.5
2 1 15  88.27  5.8

```
data_TbNd5In4
_chemical_formula_sum 'Tb1 Nd5 In4'
_symmetry_space_group_name_H-M 'P 4/m m m'
_symmetry_Int_Tables_number 123
_symmetry_space_group_name_Hall '-P 4 2'
_cell_length_a 3.6475
_cell_length_b 3.6475
_cell_length_c 22.6119
_cell_angle_alpha 90.00
_cell_angle_beta 90.00
_cell_angle_gamma 90.00
loop_
_atom_site_label
_atom_site_fract_x
_atom_site_fract_y
_atom_site_fract_z
_atom_site_occupancy
Tb1 0.0000 0.0000 0.0000 1
Nd1 0.5000 0.5000 0.1147 1
Nd2 0.5000 0.5000 0.3067 1
Nd3 0.5000 0.5000 0.5000 1
In1 0.0000 0.0000 0.2101 1
In2 0.0000 0.0000 0.4034 1
```



[3]
For Dy5In2Pt2, a structure optimized by DFT (PBE) gives the calculated powder diffractogram in this record (λ = 1.5418 Å (Cu Kα)).

Most intense lines, 2θ from 10° to 90°, by angle:
index  two_theta  I_rel
2 0 0  11.26  89.4
2 2 1  27.13  24.3
4 2 0  31.29  62.2
3 1 2  31.79  87.3
0 2 2  32.64  35.8
4 0 2  33.55  29.0
4 2 1  33.68  100.0
1 3 1  35.02  74.7
1 1 3  39.05  54.3
5 1 2  39.38  64.4
8 0 0  46.22  26.6
9 3 1  64.29  22.5

```
data_Dy5In2Pt2
_chemical_formula_sum 'Dy20 In8 Pt8'
_symmetry_space_group_name_H-M 'C m c e'
_symmetry_Int_Tables_number 64
_symmetry_space_group_name_Hall '-C 2ac 2'
_cell_length_a 15.7125
_cell_length_b 8.3380
_cell_length_c 7.2858
_cell_angle_alpha 90.00
_cell_angle_beta 90.00
_cell_angle_gamma 90.00
loop_
_atom_site_label
_atom_site_fract_x
_atom_site_fract_y
_atom_site_fract_z
_atom_site_occupancy
Dy1 0.0000 0.0000 0.0000 1
Dy2 0.1201 0.1800 0.3403 1
In1 0.2147 0.0000 0.0000 1
Pt1 0.0000 0.1261 0.6349 1
```



[4]
For Sc3Ga3Pd2, a structure optimized by DFT (PBE) gives the calculated powder diffractogram in this record (λ = 1.5418 Å (Cu Kα)).

Most intense lines, 2θ from 10° to 90°, by angle:
index  two_theta  I_rel
1 0 1  20.68  50.2
0 3 1  23.67  34.1
2 4 0  34.29  58.5
1 5 1  35.49  34.3
1 1 2  35.95  42.3
2 4 1  38.20  100.0
1 3 2  39.59  57.9
3 0 1  41.97  41.3
1 4 2  42.56  87.5
1 7 1  45.77  31.3
0 8 0  46.44  30.5
4 0 1  54.85  26.0

```
data_Sc3Ga3Pd2
_chemical_formula_sum 'Sc12 Ga12 Pd8'
_symmetry_space_group_name_H-M 'P n m a'
_symmetry_Int_Tables_number 62
_symmetry_space_group_name_Hall '-P 2ac 2n'
_cell_length_a 7.0351
_cell_length_b 15.6432
_cell_length_c 5.4234
_cell_angle_alpha 90.00
_cell_angle_beta 90.00
_cell_angle_gamma 90.00
loop_
_atom_site_label
_atom_site_fract_x
_atom_site_fract_y
_atom_site_fract_z
_atom_site_occupancy
Sc1 0.0313 0.1124 0.1258 1
Sc2 0.1682 0.2500 0.6442 1
Ga1 0.1843 0.7500 0.6600 1
Ga2 0.1875 0.0271 0.5973 1
Pd1 0.1105 0.6201 0.3778 1
```



[5]
For Ti4NbZn, a structure optimized by DFT (PBE) gives the calculated powder diffractogram in this record (λ = 1.5418 Å (Cu Kα)).

Most intense lines, 2θ from 10° to 90°, by angle:
index  two_theta  I_rel
1 1 -2  38.12  100.0
3 1 0  38.97  94.0
4 0 -2  42.27  36.7
2 0 2  43.18  37.8
0 2 0  48.77  23.7
2 0 -4  60.81  11.5
4 2 -2  66.48  17.3
2 2 2  67.15  16.8
5 1 -4  73.98  12.3
1 1 4  75.26  11.7
7 1 -2  75.63  11.6
5 1 2  76.90  11.1

```
data_Ti4NbZn
_chemical_formula_sum 'Ti8 Nb2 Zn2'
_symmetry_space_group_name_H-M 'C 1 2/m 1'
_symmetry_Int_Tables_number 12
_symmetry_space_group_name_Hall '-C 2y'
_cell_length_a 9.3974
_cell_length_b 3.7343
_cell_length_c 6.0943
_cell_angle_alpha 90.00
_cell_angle_beta 110.08
_cell_angle_gamma 90.00
loop_
_atom_site_label
_atom_site_fract_x
_atom_site_fract_y
_atom_site_fract_z
_atom_site_occupancy
Ti1 0.1652 0.0000 0.3393 1
Ti2 0.1656 0.0000 0.8268 1
Nb1 0.0000 0.5000 0.0000 1
Zn1 0.0000 0.5000 0.5000 1
```



[6]
For Pm3Sm3Tm8, a structure optimized by DFT (PBE) gives the calculated powder diffractogram in this record (λ = 1.5418 Å (Cu Kα)).

Most intense lines, 2θ from 10° to 90°, by angle:
index  two_theta  I_rel
1 1 4  29.71  31.4
0 3 3  30.76  32.9
2 0 0  31.82  52.3
1 3 2  32.02  100.0
1 0 5  33.69  57.4
1 2 5  37.76  12.2
2 3 3  44.84  23.5
0 6 0  51.30  12.0
3 3 2  56.82  19.7
3 0 5  57.89  12.3
2 6 0  61.64  13.6
1 6 5  62.78  14.5

```
data_Pm3Sm3Tm8
_chemical_formula_sum 'Pm6 Sm6 Tm16'
_symmetry_space_group_name_H-M 'I m m m'
_symmetry_Int_Tables_number 71
_symmetry_space_group_name_Hall '-I 2 2'
_cell_length_a 5.6247
_cell_length_b 10.6863
_cell_length_c 15.0969
_cell_angle_alpha 90.00
_cell_angle_beta 90.00
_cell_angle_gamma 90.00
loop_
_atom_site_label
_atom_site_fract_x
_atom_site_fract_y
_atom_site_fract_z
_atom_site_occupancy
Pm1 0.0000 0.0000 0.0000 1
Pm2 0.0000 0.5000 0.3128 1
Sm1 0.0000 0.0000 0.5000 1
Sm2 0.0000 0.3012 0.5000 1
Tm1 0.0000 0.1616 0.2799 1
Tm2 0.0000 0.3411 0.1027 1
```



[7]
For KReMo2, a structure optimized by DFT (PBE) gives the calculated powder diffractogram in this record (λ = 1.5418 Å (Cu Kα)).

Most intense lines, 2θ from 10° to 90°, by angle:
index  two_theta  I_rel
0 0 1  11.54  100.0
0 1 0  20.50  9.6
0 1 1  23.58  11.3
0 1 2  31.14  18.5
1 0 1  35.53  8.7
1 1 0  38.72  11.3
1 1 -1  39.72  31.0
0 1 3  40.98  17.0
0 2 0  41.69  13.8
1 0 2  41.93  8.7
1 1 -2  44.12  9.4
0 1 4  52.16  11.4

```
data_KReMo2
_chemical_formula_sum 'K1 Re1 Mo2'
_symmetry_space_group_name_H-M 'P 1 m 1'
_symmetry_Int_Tables_number 6
_symmetry_space_group_name_Hall 'P -2y'
_cell_length_a 2.7640
_cell_length_b 4.3334
_cell_length_c 7.6971
_cell_angle_alpha 90.00
_cell_angle_beta 94.74
_cell_angle_gamma 90.00
loop_
_atom_site_label
_atom_site_fract_x
_atom_site_fract_y
_atom_site_fract_z
_atom_site_occupancy
K1 0.0000 0.0000 0.0000 1
Re1 0.2249 0.5000 0.6531 1
Mo1 0.5591 0.0000 0.5158 1
Mo2 0.8842 0.5000 0.3575 1
```



[8]
For TlCu, a structure optimized by DFT (PBE) gives the calculated powder diffractogram in this record (λ = 1.5418 Å (Cu Kα)).

Most intense lines, 2θ from 10° to 90°, by angle:
index  two_theta  I_rel
0 0 3  23.11  18.6
1 0 1  30.09  29.3
0 1 2  33.02  100.0
1 0 4  42.99  48.5
0 0 6  47.23  12.3
1 1 0  51.51  28.5
1 1 3  57.17  10.6
2 0 2  62.56  15.8
0 2 4  69.28  11.6
0 1 8  72.33  10.2
1 1 6  72.46  20.4
1 2 2  85.22  13.5

```
data_TlCu
_chemical_formula_sum 'Tl3 Cu3'
_symmetry_space_group_name_H-M 'R -3 m'
_symmetry_Int_Tables_number 166
_symmetry_space_group_name_Hall '-R 3 2"'
_cell_length_a 3.5485
_cell_length_b 3.5485
_cell_length_c 11.5457
_cell_angle_alpha 90.00
_cell_angle_beta 90.00
_cell_angle_gamma 120.00
loop_
_atom_site_label
_atom_site_fract_x
_atom_site_fract_y
_atom_site_fract_z
_atom_site_occupancy
Tl1 0.0000 0.0000 0.0000 1
Cu1 0.0000 0.0000 0.5000 1
```



Repeat the third record exactly.
For Dy5In2Pt2, a structure optimized by DFT (PBE) gives the calculated powder diffractogram in this record (λ = 1.5418 Å (Cu Kα)).

Most intense lines, 2θ from 10° to 90°, by angle:
index  two_theta  I_rel
2 0 0  11.26  89.4
2 2 1  27.13  24.3
4 2 0  31.29  62.2
3 1 2  31.79  87.3
0 2 2  32.64  35.8
4 0 2  33.55  29.0
4 2 1  33.68  100.0
1 3 1  35.02  74.7
1 1 3  39.05  54.3
5 1 2  39.38  64.4
8 0 0  46.22  26.6
9 3 1  64.29  22.5

```
data_Dy5In2Pt2
_chemical_formula_sum 'Dy20 In8 Pt8'
_symmetry_space_group_name_H-M 'C m c e'
_symmetry_Int_Tables_number 64
_symmetry_space_group_name_Hall '-C 2ac 2'
_cell_length_a 15.7125
_cell_length_b 8.3380
_cell_length_c 7.2858
_cell_angle_alpha 90.00
_cell_angle_beta 90.00
_cell_angle_gamma 90.00
loop_
_atom_site_label
_atom_site_fract_x
_atom_site_fract_y
_atom_site_fract_z
_atom_site_occupancy
Dy1 0.0000 0.0000 0.0000 1
Dy2 0.1201 0.1800 0.3403 1
In1 0.2147 0.0000 0.0000 1
Pt1 0.0000 0.1261 0.6349 1
```



Copy entry 5 word for word.
For Ti4NbZn, a structure optimized by DFT (PBE) gives the calculated powder diffractogram in this record (λ = 1.5418 Å (Cu Kα)).

Most intense lines, 2θ from 10° to 90°, by angle:
index  two_theta  I_rel
1 1 -2  38.12  100.0
3 1 0  38.97  94.0
4 0 -2  42.27  36.7
2 0 2  43.18  37.8
0 2 0  48.77  23.7
2 0 -4  60.81  11.5
4 2 -2  66.48  17.3
2 2 2  67.15  16.8
5 1 -4  73.98  12.3
1 1 4  75.26  11.7
7 1 -2  75.63  11.6
5 1 2  76.90  11.1

```
data_Ti4NbZn
_chemical_formula_sum 'Ti8 Nb2 Zn2'
_symmetry_space_group_name_H-M 'C 1 2/m 1'
_symmetry_Int_Tables_number 12
_symmetry_space_group_name_Hall '-C 2y'
_cell_length_a 9.3974
_cell_length_b 3.7343
_cell_length_c 6.0943
_cell_angle_alpha 90.00
_cell_angle_beta 110.08
_cell_angle_gamma 90.00
loop_
_atom_site_label
_atom_site_fract_x
_atom_site_fract_y
_atom_site_fract_z
_atom_site_occupancy
Ti1 0.1652 0.0000 0.3393 1
Ti2 0.1656 0.0000 0.8268 1
Nb1 0.0000 0.5000 0.0000 1
Zn1 0.0000 0.5000 0.5000 1
```